1.
Structure and simulated powder diffractogram of ZrSe (a DFT-relaxed cell (GGA-PBE, the Materials Project); copper Kα).

Atomic structure:
Lattice parameters (Å, degrees): 5.2509 5.4277 27.7126 87.97 89.83 89.94
Space group P1 (No. 1)
Unique sites:
Zr 0.0000 0.0000 0.0000 x1
Zr 0.0001 0.4201 0.2866 x1
Zr 0.0027 0.3382 0.9070 x1
Zr 0.4958 0.3693 0.0060 x1
Zr 0.4967 0.3781 0.2132 x1
Zr 0.4985 0.3931 0.8100 x1
Zr 0.4988 0.9262 0.2874 x1
Zr 0.5023 0.4210 0.4269 x1
Zr 0.5063 0.8295 0.5346 x1
Zr 0.5166 0.4297 0.6195 x1
Zr 0.9836 0.4484 0.5026 x1
Zr 0.9912 0.8184 0.6260 x1
Zr 0.9938 0.8773 0.4281 x1
Zr 0.9970 0.4273 0.7085 x1
Zr 0.9979 0.8663 0.2159 x1
Zr 0.9988 0.3559 0.0867 x1
Se 0.0013 0.3901 0.4025 x1
Se 0.0037 0.9336 0.5244 x1
Se 0.0141 0.3284 0.6117 x1
Se 0.4837 0.3396 0.5217 x1
Se 0.4921 0.9130 0.6325 x1
Se 0.4959 0.9140 0.3973 x1
Se 0.4976 0.3534 0.7164 x1
Se 0.4981 0.4043 0.1029 x1
Se 0.4977 0.8857 0.1874 x1
Se 0.4996 0.4173 0.3168 x1
Se 0.5004 0.8922 0.9942 x1
Se 0.5020 0.4392 0.9046 x1
Se 0.9953 0.4940 0.9953 x1
Se 0.9971 0.3803 0.1855 x1
Se 0.9985 0.4026 0.8083 x1
Se 0.9993 0.9129 0.3156 x1

The 6 most intense peaks (10° ≤ 2θ ≤ 90°), by intensity:
| 2theta | I/Imax |
| --- | --- |
| 34.2 | 100 |
| 33.0 | 85 |
| 48.2 | 58 |
| 32.3 | 52 |
| 16.3 | 39 |
| 47.8 | 26 |

2.
Structure and simulated powder diffractogram of Sm5Si3 (a DFT-relaxed cell (GGA-PBE, the Materials Project); copper Kα).

Atomic structure:
Lattice parameters (Å, degrees): 8.6547 8.6547 6.5666 90.00 90.00 120.00
Space group P6_3/mcm (No. 193)
Unique sites:
Sm 0.0000 0.2473 0.2500 x6
Sm 0.3333 0.6667 0.0000 x4
Si 0.0000 0.3909 0.7500 x6

The 6 most intense peaks (10° ≤ 2θ ≤ 90°), by intensity:
| 2theta | I/Imax |
| --- | --- |
| 34.3 | 100 |
| 34.5 | 98 |
| 29.7 | 52 |
| 24.6 | 52 |
| 31.6 | 51 |
| 35.9 | 45 |

3.
Structure and simulated powder diffractogram of Sm5Si4 (a DFT-relaxed cell (GGA-PBE, the Materials Project); copper Kα).

Atomic structure:
Lattice parameters (Å, degrees): 7.6561 14.9650 7.8673 90.00 90.00 90.00
Space group Pnma (No. 62)
Unique sites:
Sm 0.0364 0.1005 0.1864 x8
Sm 0.1430 0.7500 0.5131 x4
Sm 0.1866 0.1221 0.6808 x8
Si 0.0185 0.7500 0.1004 x4
Si 0.1382 0.5404 0.4731 x8
Si 0.2439 0.2500 0.3773 x4

The 6 most intense peaks (10° ≤ 2θ ≤ 90°), by intensity:
| 2theta | I/Imax |
| --- | --- |
| 31.6 | 100 |
| 33.0 | 77 |
| 31.2 | 59 |
| 29.4 | 54 |
| 26.6 | 51 |
| 33.2 | 48 |

4.
Structure and simulated powder diffractogram of Sm3Si (a DFT-relaxed cell (GGA-PBE, the Materials Project); copper Kα).

Atomic structure:
Lattice parameters (Å, degrees): 6.9356 6.9356 5.0753 90.00 90.00 120.00
Space group P6_3/mmc (No. 194)
Unique sites:
Sm 0.1799 0.3598 0.2500 x6
Si 0.3333 0.6667 0.7500 x2

The 6 most intense peaks (10° ≤ 2θ ≤ 90°), by intensity:
| 2theta | I/Imax |
| --- | --- |
| 34.7 | 100 |
| 22.9 | 30 |
| 29.7 | 25 |
| 35.4 | 22 |
| 65.2 | 19 |
| 52.8 | 18 |

5.
Structure and simulated powder diffractogram of SiSn (a DFT-relaxed cell (GGA-PBE, the Materials Project); copper Kα).

Atomic structure:
Lattice parameters (Å, degrees): 6.0693 6.0693 6.0693 90.00 90.00 90.00
Space group F-43m (No. 216)
Unique sites:
Si 0.0000 0.0000 0.0000 x4
Sn 0.2500 0.2500 0.7500 x4

The 6 most intense peaks (10° ≤ 2θ ≤ 90°), by intensity:
| 2theta | I/Imax |
| --- | --- |
| 25.4 | 100 |
| 42.1 | 57 |
| 49.8 | 50 |
| 29.4 | 28 |
| 67.2 | 21 |
| 77.0 | 21 |

6.
Structure and simulated powder diffractogram of Si18Sn (a DFT-relaxed cell (GGA-PBE, the Materials Project); copper Kα).

Atomic structure:
Lattice parameters (Å, degrees): 3.5343 9.8483 63.3152 90.00 90.08 90.00
Space group Cm (No. 8)
Unique sites:
Si 0.0001 0.0000 0.9998 x2
Si 0.0000 0.3352 0.0000 x4
Si 0.0639 0.0000 0.7992 x2
Si 0.0649 0.3352 0.7994 x4
Si 0.1470 0.0000 0.2472 x2
Si 0.1474 0.3347 0.2478 x4
Si 0.2164 0.0000 0.0481 x2
Si 0.2161 0.3349 0.0478 x4
Si 0.2833 0.3348 0.8483 x4
Si 0.2839 0.0000 0.8486 x2
Si 0.4340 0.1649 0.2001 x4
Si 0.4356 0.5000 0.2005 x2
Sn 0.0199 0.5000 0.3989 x2

The 6 most intense peaks (10° ≤ 2θ ≤ 90°), by intensity:
| 2theta | I/Imax |
| --- | --- |
| 28.2 | 100 |
| 21.0 | 86 |
| 37.8 | 57 |
| 37.4 | 50 |
| 26.8 | 38 |
| 44.1 | 37 |